Tb2Pr5Nd3: theoretical powder X-ray diffraction pattern (copper Kα), based on DFT lattice parameters and positions (PBE).
No peak broadening, texture or thermal motion is included.

Structural model:
```
data_Tb2Pr5Nd3
_space_group_name_H-M_alt 'C 1 2/m 1'
_space_group_IT_number 12
_cell_length_a 11.7700
_cell_length_b 5.6073
_cell_length_c 11.0045
_cell_angle_alpha 90.00
_cell_angle_beta 98.54
_cell_angle_gamma 90.00
loop_
_space_group_symop_operation_xyz
'x,y,z'
'-x,-y,-z'
'-x,y,-z'
'x,-y,z'
'x+1/2,y+1/2,z'
'-x+1/2,-y+1/2,-z'
'-x+1/2,y+1/2,-z'
'x+1/2,-y+1/2,z'
loop_
_atom_site_label
_atom_site_type_symbol
_atom_site_fract_x
_atom_site_fract_y
_atom_site_fract_z
_atom_site_occupancy
Tb1 Tb 0.0640 0.0000 0.2740 1
Pr1 Pr 0.0000 0.5000 0.5000 1
Pr2 Pr 0.1410 0.5000 0.7624 1
Pr3 Pr 0.1771 0.0000 0.9466 1
Nd1 Nd 0.0000 0.5000 0.0000 1
Nd2 Nd 0.2340 0.0000 0.6064 1
```

The 10 most intense peaks (5 to 70 degrees two-theta), in order of rising 2θ:
24.8 deg, I 19
29.4 deg, I 24
30.1 deg, I 48
30.7 deg, I 100
31.3 deg, I 74
31.9 deg, I 68
33.0 deg, I 22
34.3 deg, I 29
46.6 deg, I 17
56.1 deg, I 18

---

Tl2Sn5Cl12: theoretical powder X-ray diffraction pattern (copper Kα), based on DFT lattice parameters and positions (PBE).
No peak broadening, texture or thermal motion is included.

Structural model:
```
data_Tl2Sn5Cl12
_space_group_name_H-M_alt 'C 1 2/m 1'
_space_group_IT_number 12
_cell_length_a 15.7422
_cell_length_b 7.7737
_cell_length_c 10.6836
_cell_angle_alpha 90.00
_cell_angle_beta 104.67
_cell_angle_gamma 90.00
loop_
_space_group_symop_operation_xyz
'x,y,z'
'-x,-y,-z'
'-x,y,-z'
'x,-y,z'
'x+1/2,y+1/2,z'
'-x+1/2,-y+1/2,-z'
'-x+1/2,y+1/2,-z'
'x+1/2,-y+1/2,z'
loop_
_atom_site_label
_atom_site_type_symbol
_atom_site_fract_x
_atom_site_fract_y
_atom_site_fract_z
_atom_site_occupancy
Tl1 Tl 0.0000 0.2199 0.0000 1
Sn1 Sn 0.0000 0.0000 0.5000 1
Sn2 Sn 0.1610 0.5000 0.7327 1
Sn3 Sn 0.1936 0.5000 0.3241 1
Cl1 Cl 0.0180 0.5000 0.2287 1
Cl2 Cl 0.0315 0.0000 0.7663 1
Cl3 Cl 0.1353 0.2689 0.5383 1
Cl4 Cl 0.2028 0.2524 0.1559 1
```

The 10 most intense peaks (5 to 70 degrees two-theta), in order of rising 2θ:
16.1 deg, I 31
18.1 deg, I 74
20.2 deg, I 57
20.9 deg, I 100
24.5 deg, I 46
28.7 deg, I 74
32.5 deg, I 31
35.4 deg, I 33
39.0 deg, I 71
42.4 deg, I 36